Entry 1:
The following is a calculated XRD peak list of Ac6PtSe5. It was derived from a structure optimized by DFT (PBE), using Cu Kα.
Neutral-atom scattering factors, no anomalous dispersion.

Top 10 peaks for 2θ = 10–80°, by angle:
- 2θ = 24.28°, I = 20
- 2θ = 28.14°, I = 100
- 2θ = 40.12°, I = 26
- 2θ = 40.26°, I = 51
- 2θ = 47.56°, I = 8
- 2θ = 49.67°, I = 7
- 2θ = 49.79°, I = 14
- 2θ = 58.24°, I = 9
- 2θ = 65.90°, I = 18
- 2θ = 73.01°, I = 13

Structural model:
```
Ac6PtSe5
1.0
3.8973 -6.7230 0.0000
3.8973 6.7230 0.0000
-2.6063 0.0000 7.3044
Ac Pt Se
6 1 5
Direct
0.0799 0.4035 0.7426
0.2420 0.2420 0.2538
0.4035 0.0799 0.7426
0.5965 0.9201 0.2574
0.7580 0.7580 0.7462
0.9201 0.5965 0.2574
0.0000 0.0000 0.5000
0.1735 0.8265 0.0000
0.3343 0.6657 0.5000
0.5000 0.5000 0.0000
0.6657 0.3343 0.5000
0.8265 0.1735 0.0000
```



Entry 2:
The following is a calculated XRD peak list of Li4BiPb. It was derived from a structure optimized by DFT (PBE), using Cu Kα.
Neutral-atom scattering factors, no anomalous dispersion.

Top 10 peaks for 2θ = 10–80°, by angle:
- 2θ = 21.92°, I = 100
- 2θ = 27.04°, I = 19
- 2θ = 35.08°, I = 69
- 2θ = 38.41°, I = 19
- 2θ = 38.54°, I = 9
- 2θ = 44.75°, I = 11
- 2θ = 47.60°, I = 17
- 2θ = 53.07°, I = 15
- 2θ = 67.31°, I = 14
- 2θ = 69.77°, I = 10

Structural model:
```
Li4BiPb
1.0
3.2971 -8.1283 0.0000
3.2971 8.1283 0.0000
0.0000 0.0000 4.6716
Li Bi Pb
8 2 2
Direct
0.0401 0.4566 0.2500
0.2072 0.2905 0.2500
0.2905 0.2072 0.7500
0.4566 0.0401 0.7500
0.5434 0.9599 0.2500
0.7095 0.7928 0.2500
0.7928 0.7095 0.7500
0.9599 0.5434 0.7500
0.1260 0.8740 0.2500
0.8740 0.1260 0.7500
0.3765 0.6235 0.7500
0.6235 0.3765 0.2500
```



Entry 3:
The following is a calculated XRD peak list of LiYH. It was derived from a structure optimized by DFT (PBE), using Cu Kα.
Neutral-atom scattering factors, no anomalous dispersion.

Top 10 peaks for 2θ = 10–80°, by angle:
- 2θ = 27.38°, I = 28
- 2θ = 28.00°, I = 68
- 2θ = 29.54°, I = 47
- 2θ = 30.08°, I = 47
- 2θ = 30.89°, I = 83
- 2θ = 32.20°, I = 100
- 2θ = 38.36°, I = 37
- 2θ = 48.47°, I = 28
- 2θ = 49.43°, I = 23
- 2θ = 58.23°, I = 20

Structural model:
```
LiYH
1.0
3.2743 -1.8434 0.0000
3.2743 1.8434 0.0000
-2.3484 0.0000 9.0731
Li Y H
2 2 2
Direct
0.1935 0.1935 0.0808
0.8065 0.8065 0.9192
0.3908 0.3908 0.6505
0.6092 0.6092 0.3495
0.2984 0.2984 0.4029
0.7016 0.7016 0.5971
```



Entry 4:
The following is a calculated XRD peak list of CaAcBO4. It was derived from a structure optimized by DFT (PBE), using Cu Kα.
Neutral-atom scattering factors, no anomalous dispersion.

Top 10 peaks for 2θ = 10–80°, by angle:
- 2θ = 22.67°, I = 100
- 2θ = 22.87°, I = 27
- 2θ = 24.64°, I = 29
- 2θ = 31.30°, I = 30
- 2θ = 33.07°, I = 24
- 2θ = 33.51°, I = 40
- 2θ = 40.59°, I = 24
- 2θ = 41.08°, I = 23
- 2θ = 42.03°, I = 21
- 2θ = 42.21°, I = 35

Structural model:
```
CaAcBO4
1.0
2.7086 -4.6130 0.0000
2.7086 4.6130 0.0000
0.0000 0.0000 7.2256
Ca Ac B O
2 2 2 8
Direct
0.0000 0.0000 0.0000
0.0000 0.0000 0.5000
0.3155 0.6845 0.7500
0.6845 0.3155 0.2500
0.3376 0.6624 0.2500
0.6624 0.3376 0.7500
0.2089 0.3370 0.2500
0.2401 0.7599 0.0862
0.2401 0.7599 0.4138
0.3370 0.2089 0.7500
0.6630 0.7911 0.2500
0.7599 0.2401 0.5862
0.7599 0.2401 0.9138
0.7911 0.6630 0.7500
```



Copy entry 1 word for word.
The following is a calculated XRD peak list of Ac6PtSe5. It was derived from a structure optimized by DFT (PBE), using Cu Kα.
Neutral-atom scattering factors, no anomalous dispersion.

Top 10 peaks for 2θ = 10–80°, by angle:
- 2θ = 24.28°, I = 20
- 2θ = 28.14°, I = 100
- 2θ = 40.12°, I = 26
- 2θ = 40.26°, I = 51
- 2θ = 47.56°, I = 8
- 2θ = 49.67°, I = 7
- 2θ = 49.79°, I = 14
- 2θ = 58.24°, I = 9
- 2θ = 65.90°, I = 18
- 2θ = 73.01°, I = 13

Structural model:
```
Ac6PtSe5
1.0
3.8973 -6.7230 0.0000
3.8973 6.7230 0.0000
-2.6063 0.0000 7.3044
Ac Pt Se
6 1 5
Direct
0.0799 0.4035 0.7426
0.2420 0.2420 0.2538
0.4035 0.0799 0.7426
0.5965 0.9201 0.2574
0.7580 0.7580 0.7462
0.9201 0.5965 0.2574
0.0000 0.0000 0.5000
0.1735 0.8265 0.0000
0.3343 0.6657 0.5000
0.5000 0.5000 0.0000
0.6657 0.3343 0.5000
0.8265 0.1735 0.0000
```



- What is the formula in the fourth record?
  CaAcBO4